Diffraction record for Sb4Pb4S11. The X-ray diffraction stick pattern is computed, not measured: it uses a structure optimized by DFT (GGA-PBE) and CuKα.
No peak broadening, texture or thermal motion is included.

The 10 most intense peaks (2θ = 15–90°), by angle:
hkl 3 2 0, 2θ = 20.37°, 4.361 Å, I = 51; hkl 1 4 0, 2θ = 23.13°, 3.846 Å, I = 63; hkl 1 1 1, 2θ = 23.90°, 3.723 Å, I = 40; hkl 4 2 0, 2θ = 25.37°, 3.511 Å, I = 100; hkl 2 2 1, 2θ = 27.68°, 3.223 Å, I = 58; hkl 2 3 1, 2θ = 30.45°, 2.935 Å, I = 46; hkl 0 4 1, 2θ = 31.97°, 2.799 Å, I = 36; hkl 1 4 1, 2θ = 32.49°, 2.756 Å, I = 73; hkl 3 3 1, 2θ = 33.10°, 2.707 Å, I = 47; hkl 4 6 1, 2θ = 47.44°, 1.916 Å, I = 49

```
data_Sb4Pb4S11
_chemical_formula_sum 'Sb8 Pb8 S22'
_symmetry_space_group_name_H-M 'P b a m'
_symmetry_Int_Tables_number 55
_cell_length_a 15.659
_cell_length_b 15.870
_cell_length_c 3.950
_cell_angle_alpha 90.00
_cell_angle_beta 90.00
_cell_angle_gamma 90.00
loop_
_symmetry_equiv_pos_as_xyz
'x,y,z'
'-x,-y,-z'
'-x,-y,z'
'x,y,-z'
'x+1/2,-y+1/2,-z'
'-x+1/2,y+1/2,z'
'-x+1/2,y+1/2,-z'
'x+1/2,-y+1/2,z'
loop_
_atom_site_label
_atom_site_type_symbol
_atom_site_fract_x
_atom_site_fract_y
_atom_site_fract_z
_atom_site_occupancy
Sb1 Sb 0.004 0.227 0.000 1
Sb2 Sb 0.133 0.986 0.000 1
Pb1 Pb 0.115 0.435 0.500 1
Pb2 Pb 0.238 0.184 0.500 1
S1 S 0.000 0.500 0.000 1
S2 S 0.045 0.676 0.500 1
S3 S 0.074 0.104 0.500 1
S4 S 0.147 0.292 0.000 1
S5 S 0.170 0.885 0.500 1
S6 S 0.225 0.552 0.000 1
```